1.
The following is a calculated XRD peak list of Tb6PmPr3. It was derived from a DFT-relaxed cell (PBE, Alexandria), using Cu Kα, 1.54184 Å.
Kinematic intensities with the Lorentz-polarization factor, no thermal factor.

Top 10 peaks for 10 to 90 degrees two-theta, low angle first:
d_spacing	two_theta	I/Imax	index
3.189	28.0	142	3 3 0
3.148	28.3	698	2 4 1
3.038	29.4	185	1 1 2
2.854	31.3	1000	0 6 1
2.771	32.3	199	2 0 2
2.662	33.7	433	2 2 2
2.653	33.8	237	3 5 0
1.840	49.5	288	6 0 0
1.596	57.8	106	6 0 2
1.574	58.6	144	2 10 2

```
data_Tb6PmPr3
_chemical_formula_sum 'Tb24 Pm4 Pr12'
_cell_length_a 11.049
_cell_length_b 19.119
_cell_length_c 6.407
_cell_angle_alpha 90.00
_cell_angle_beta 90.00
_cell_angle_gamma 90.00
_symmetry_space_group_name_H-M 'C m c 21'
_symmetry_Int_Tables_number 36
loop_
_symmetry_equiv_pos_as_xyz
'x,y,z'
'-x,-y,z+1/2'
'-x,y,z'
'x,-y,z+1/2'
'x+1/2,y+1/2,z'
'-x+1/2,-y+1/2,z+1/2'
'-x+1/2,y+1/2,z'
'x+1/2,-y+1/2,z+1/2'
loop_
_atom_site_label
_atom_site_type_symbol
_atom_site_fract_x
_atom_site_fract_y
_atom_site_fract_z
Tb1 Tb 0.000 0.038 0.000
Tb2 Tb 0.000 0.273 0.218
Tb3 Tb 0.168 0.455 0.318
Tb4 Tb 0.239 0.291 0.493
Pm1 Pm 0.000 0.193 0.741
Pr1 Pr 0.000 0.387 0.794
Pr2 Pr 0.177 0.114 0.403
```

***

2.
The following is a calculated XRD peak list of La4Tm5Th. It was derived from a DFT-relaxed cell (PBE, Alexandria), using Cu Kα, 1.54184 Å.
Kinematic intensities with the Lorentz-polarization factor, no thermal factor.

Top 10 peaks for 10 to 90 degrees two-theta, low angle first:
d_spacing	two_theta	I/Imax	index
5.930	14.9	298	0 0 2
3.263	27.3	339	2 0 1
3.062	29.2	373	2 1 1
2.966	30.1	376	0 0 4
2.950	30.3	458	0 2 3
2.867	31.2	518	0 3 1
2.473	36.3	311	2 1 3
2.453	36.6	1000	2 2 2
1.945	46.7	208	2 0 5
1.460	63.7	253	4 3 1

```
data_La4Tm5Th
_chemical_formula_sum 'La8 Tm10 Th2'
_cell_length_a 6.789
_cell_length_b 8.862
_cell_length_c 11.863
_cell_angle_alpha 90.00
_cell_angle_beta 90.00
_cell_angle_gamma 90.00
_symmetry_space_group_name_H-M 'P m m n'
_symmetry_Int_Tables_number 59
loop_
_symmetry_equiv_pos_as_xyz
'x,y,z'
'-x,-y,-z'
'-x+1/2,-y+1/2,z'
'x+1/2,y+1/2,-z'
'x+1/2,-y,-z'
'-x+1/2,y,z'
'-x,y+1/2,-z'
'x,-y+1/2,z'
loop_
_atom_site_label
_atom_site_type_symbol
_atom_site_fract_x
_atom_site_fract_y
_atom_site_fract_z
La1 La 0.004 0.250 0.036
La2 La 0.250 0.516 0.509
Tm1 Tm 0.002 0.566 0.226
Tm2 Tm 0.250 0.250 0.297
Th1 Th 0.250 0.750 0.724
```

***

3.
The following is a calculated XRD peak list of Y8Ho3Zr. It was derived from a DFT-relaxed cell (PBE, Alexandria), using Cu Kα, 1.54184 Å.
Kinematic intensities with the Lorentz-polarization factor, no thermal factor.

Top 10 peaks for 10 to 90 degrees two-theta, low angle first:
d_spacing	two_theta	I/Imax	index
8.486	10.4	178	0 0 3
3.058	29.2	478	0 2 1
2.829	31.6	453	0 0 9
2.773	32.3	1000	0 2 4
2.636	34.0	807	2 0 5
2.213	40.8	233	2 0 8
1.779	51.4	339	2 2 0
1.653	55.6	224	0 2 13
1.506	61.6	388	2 2 9
1.497	62.0	150	4 0 4

```
data_Y8Ho3Zr
_chemical_formula_sum 'Y24 Ho9 Zr3'
_cell_length_a 7.1146
_cell_length_b 7.1146
_cell_length_c 25.4587
_cell_angle_alpha 90.00
_cell_angle_beta 90.00
_cell_angle_gamma 120.00
_symmetry_space_group_name_H-M 'R -3 m'
_symmetry_Int_Tables_number 166
_symmetry_space_group_name_Hall '-R 3 2"'
loop_
_atom_site_label
_atom_site_type_symbol
_atom_site_fract_x
_atom_site_fract_y
_atom_site_fract_z
Y1 Y 0.0000 0.0000 0.2225
Y2 Y 0.0049 0.5025 0.7758
Ho1 Ho 0.0000 0.5000 0.0000
Zr1 Zr 0.0000 0.0000 0.0000
```

***

4.
The following is a calculated XRD peak list of Cs2CePdI6. It was derived from a DFT-relaxed cell (PBE, Alexandria), using Cu Kα, 1.54184 Å.
Kinematic intensities with the Lorentz-polarization factor, no thermal factor.

Top 10 peaks for 10 to 90 degrees two-theta, low angle first:
d_spacing	two_theta	I/Imax	index
6.979	12.7	246	0 1 2
3.494	25.5	334	0 0 12
3.385	26.3	688	2 0 5
3.148	28.3	1000	0 2 7
2.774	32.3	340	0 2 10
2.328	38.7	231	2 0 14
2.136	42.3	599	2 2 0
2.052	44.1	281	2 0 17
1.823	50.0	256	2 2 12
1.352	69.5	247	2 2 24

```
data_Cs2CePdI6
_chemical_formula_sum 'Cs12 Ce6 Pd6 I36'
_cell_length_a 8.5452
_cell_length_b 8.5452
_cell_length_c 41.9368
_cell_angle_alpha 90.00
_cell_angle_beta 90.00
_cell_angle_gamma 120.00
_symmetry_space_group_name_H-M 'R -3 m'
_symmetry_Int_Tables_number 166
_symmetry_space_group_name_Hall '-R 3 2"'
loop_
_atom_site_label
_atom_site_type_symbol
_atom_site_fract_x
_atom_site_fract_y
_atom_site_fract_z
Cs1 Cs 0.0000 0.0000 0.1216
Cs2 Cs 0.0000 0.0000 0.2939
Ce1 Ce 0.0000 0.0000 0.4173
Pd1 Pd 0.0000 0.0000 0.0000
Pd2 Pd 0.0000 0.0000 0.5000
I1 I 0.0036 0.5018 0.8730
I2 I 0.0076 0.5038 0.7075
```